K3LuP2O8: theoretical PXRD pattern (Cu Kα X-rays), based on a cell relaxed with GGA-PBE.
Peak positions follow from Bragg's law for the DFT cell and can differ from measured ones.

Top 10 peaks for 10 to 80 degrees two-theta, sorted by position:
2θ/deg	I_rel	index
11.3	100	1 0 0
18.3	47	0 1 1
21.4	23	1 1 -1
21.5	31	1 0 -2
21.7	51	1 1 1
29.0	90	2 0 -2
29.5	77	2 1 1
31.7	47	0 2 0
32.4	72	0 1 3
44.3	26	2 2 2

Crystal structure
Unit cell a=7.8595 b=5.6408 c=9.5068 alpha=90.00 beta=92.08 gamma=90.00
Fractional positions:
K 0.0012 0.2500 0.2107
K 0.1972 0.7500 0.4223
K 0.2712 0.2500 0.9202
K 0.7288 0.7500 0.0798
K 0.8028 0.2500 0.5777
K 0.9988 0.7500 0.7893
Lu 0.4759 0.7500 0.7400
Lu 0.5241 0.2500 0.2600
P 0.2749 0.7500 0.0963
P 0.2815 0.2500 0.5703
P 0.7185 0.7500 0.4297
P 0.7251 0.2500 0.9037
O 0.0800 0.7500 0.1041
O 0.1145 0.2500 0.4821
O 0.2923 0.0257 0.6679
O 0.2923 0.4743 0.6679
O 0.3306 0.7500 0.9398
O 0.3499 0.5234 0.1710
O 0.3499 0.9766 0.1710
O 0.4326 0.2500 0.4697
O 0.5674 0.7500 0.5303
O 0.6501 0.0234 0.8290
O 0.6501 0.4766 0.8290
O 0.6694 0.2500 0.0602
O 0.7077 0.5257 0.3321
O 0.7077 0.9743 0.3321
O 0.8855 0.7500 0.5179
O 0.9200 0.2500 0.8959